Calculated X-ray powder pattern
Compound: PmPb2WO6
Radiation: copper Kα
Structure: DFT lattice parameters and positions (PBE+U)
Neutral-atom scattering factors, no anomalous dispersion.

Crystal structure
```
PmPb2WO6
1.0
5.7948 0.0000 0.0000
0.0000 6.1910 0.0000
-5.6803 0.0000 8.6375
Pm Pb W O
2 4 2 12
direct
0.0000 0.0000 0.0000 Pm
0.0000 0.5000 0.5000 Pm
0.2364 0.0471 0.7281 Pb
0.2364 0.4529 0.2281 Pb
0.7635 0.5471 0.7719 Pb
0.7635 0.9529 0.2719 Pb
0.5000 0.0000 0.5000 W
0.5000 0.5000 0.0000 W
0.1791 0.1730 0.4810 O
0.1791 0.3270 0.9810 O
0.2837 0.7376 0.4624 O
0.2837 0.7624 0.9624 O
0.3410 0.0333 0.2659 O
0.3410 0.4667 0.7659 O
0.6590 0.5333 0.2341 O
0.6590 0.9667 0.7341 O
0.7163 0.2376 0.0376 O
0.7163 0.2624 0.5376 O
0.8209 0.6730 0.0190 O
0.8209 0.8270 0.5190 O
```

Principal peaks in the range 15° ≤ 2θ ≤ 90°, in order of rising 2θ:
(0 2 0), 28.84 deg, intensity 48; (1 1 1), 29.41 deg, intensity 100; (1 1 -3), 29.70 deg, intensity 94; (2 0 -2), 30.86 deg, intensity 48; (2 2 -2), 42.75 deg, intensity 42; (0 2 4), 51.63 deg, intensity 32